1.
For K3SbSe4, the PBE geometry in the Materials Project gives the simulated X-ray diffraction stick pattern in this record (CuKα).
Neutral-atom scattering factors, no anomalous dispersion.

Structure:
```
data_K3SbSe4
_symmetry_space_group_name_H-M 'R 3 c'
_symmetry_Int_Tables_number 161
_symmetry_space_group_name_Hall 'R 3 -2"c'
_cell_length_a 11.7763
_cell_length_b 11.7763
_cell_length_c 13.6728
_cell_angle_alpha 90.00
_cell_angle_beta 90.00
_cell_angle_gamma 120.00
loop_
_atom_site_label
_atom_site_type_symbol
_atom_site_fract_x
_atom_site_fract_y
_atom_site_fract_z
K1 K 0.1349 0.3403 0.0000
Sb1 Sb 0.0000 0.0000 0.1588
Se1 Se 0.0000 0.0000 0.3426
Se2 Se 0.1967 0.4334 0.2646
```

The 6 most intense peaks (2θ = 5–70°), sorted by position:
2θ (°)	d_spacing	I/Imax	h k l
15.05	5.888	91	1 1 0
15.60	5.679	79	0 1 2
26.21	3.400	58	3 0 0
26.55	3.358	87	1 2 2
30.36	2.944	88	2 2 0
31.51	2.839	100	0 2 4


2.
For KSm2Sb3Se8, the PBE geometry in the Materials Project gives the simulated X-ray diffraction stick pattern in this record (CuKα).
Neutral-atom scattering factors, no anomalous dispersion.

Structure:
```
data_KSm2Sb3Se8
_symmetry_space_group_name_H-M 'P n m a'
_symmetry_Int_Tables_number 62
_symmetry_space_group_name_Hall '-P 2ac 2n'
_cell_length_a 17.135
_cell_length_b 4.140
_cell_length_c 22.319
_cell_angle_alpha 90.00
_cell_angle_beta 90.00
_cell_angle_gamma 90.00
loop_
_atom_site_label
_atom_site_type_symbol
_atom_site_fract_x
_atom_site_fract_y
_atom_site_fract_z
K1 K 0.202 0.250 0.244
Sm1 Sm 0.037 0.250 0.410
Sm2 Sm 0.209 0.750 0.545
Sb1 Sb 0.036 0.250 0.742
Sb2 Sb 0.077 0.750 0.087
Sb3 Sb 0.145 0.750 0.901
Se1 Se 0.028 0.250 0.170
Se2 Se 0.074 0.250 0.542
Se3 Se 0.093 0.750 0.331
Se4 Se 0.103 0.750 0.676
Se5 Se 0.118 0.250 0.003
Se6 Se 0.179 0.250 0.824
Se7 Se 0.212 0.250 0.447
Se8 Se 0.222 0.750 0.126
```

The 6 most intense peaks (2θ = 5–70°), sorted by position:
2θ (°)	d_spacing	I/Imax	h k l
23.96	3.713	55	4 0 3
28.67	3.113	58	5 0 3
28.81	3.099	54	2 1 4
29.90	2.989	84	1 1 5
31.26	2.861	100	2 1 5
43.73	2.070	89	0 2 0


3.
For KThSb2Se6, the PBE geometry in the Materials Project gives the simulated X-ray diffraction stick pattern in this record (CuKα).
Neutral-atom scattering factors, no anomalous dispersion.

Structure:
```
data_KThSb2Se6
_symmetry_space_group_name_H-M 'P 1 21/c 1'
_symmetry_Int_Tables_number 14
_symmetry_space_group_name_Hall '-P 2ybc'
_cell_length_a 4.300
_cell_length_b 15.317
_cell_length_c 17.294
_cell_angle_alpha 90.00
_cell_angle_beta 92.60
_cell_angle_gamma 90.00
loop_
_atom_site_label
_atom_site_type_symbol
_atom_site_fract_x
_atom_site_fract_y
_atom_site_fract_z
K1 K 0.235 0.213 0.327
Th1 Th 0.200 0.129 0.591
Sb1 Sb 0.231 0.626 0.474
Sb2 Sb 0.254 0.526 0.703
Se1 Se 0.164 0.529 0.197
Se2 Se 0.180 0.081 0.908
Se3 Se 0.231 0.171 0.127
Se4 Se 0.288 0.673 0.789
Se5 Se 0.291 0.705 0.015
Se6 Se 0.320 0.013 0.441
```

The 6 most intense peaks (2θ = 5–70°), sorted by position:
2θ (°)	d_spacing	I/Imax	h k l
11.76	7.524	83	0 1 2
12.64	7.001	47	0 2 1
27.08	3.293	51	1 1 3
29.24	3.055	76	1 1 -4
30.98	2.887	100	0 5 2
42.07	2.148	44	2 0 0


4.
For K8Sb2Te, the PBE geometry in the Materials Project gives the simulated X-ray diffraction stick pattern in this record (CuKα).
Neutral-atom scattering factors, no anomalous dispersion.

Structure:
```
data_K8Sb2Te
_symmetry_space_group_name_H-M 'I -4 m 2'
_symmetry_Int_Tables_number 119
_symmetry_space_group_name_Hall 'I -4 -2'
_cell_length_a 8.423
_cell_length_b 8.423
_cell_length_c 16.944
_cell_angle_alpha 90.00
_cell_angle_beta 90.00
_cell_angle_gamma 90.00
loop_
_atom_site_label
_atom_site_type_symbol
_atom_site_fract_x
_atom_site_fract_y
_atom_site_fract_z
K1 K 0.229 0.232 0.366
Sb1 Sb 0.000 0.000 0.500
Sb2 Sb 0.000 0.500 0.250
Te1 Te 0.000 0.500 0.750
```

The 6 most intense peaks (2θ = 5–70°), sorted by position:
2θ (°)	d_spacing	I/Imax	h k l
11.73	7.542	29	1 0 1
18.21	4.872	66	1 1 2
29.95	2.984	100	2 0 4
35.17	2.552	13	1 1 6
35.32	2.541	25	3 1 2
53.23	1.721	22	4 2 4


5.
For K6Tl2Sb3, the PBE geometry in the Materials Project gives the simulated X-ray diffraction stick pattern in this record (CuKα).
Neutral-atom scattering factors, no anomalous dispersion.

Structure:
```
data_K6Tl2Sb3
_symmetry_space_group_name_H-M 'C 1 2/c 1'
_symmetry_Int_Tables_number 15
_symmetry_space_group_name_Hall '-C 2yc'
_cell_length_a 10.132
_cell_length_b 17.372
_cell_length_c 20.044
_cell_angle_alpha 90.00
_cell_angle_beta 104.07
_cell_angle_gamma 90.00
loop_
_atom_site_label
_atom_site_type_symbol
_atom_site_fract_x
_atom_site_fract_y
_atom_site_fract_z
K1 K 0.000 0.024 0.250
K2 K 0.000 0.200 0.750
K3 K 0.032 0.094 0.446
K4 K 0.056 0.272 0.946
K5 K 0.089 0.425 0.446
K6 K 0.168 0.244 0.322
K7 K 0.172 0.415 0.822
Tl1 Tl 0.147 0.414 0.228
Tl2 Tl 0.210 0.085 0.929
Sb1 Sb 0.122 0.089 0.631
Sb2 Sb 0.158 0.271 0.135
Sb3 Sb 0.166 0.439 0.638
```

The 6 most intense peaks (2θ = 5–70°), sorted by position:
2θ (°)	d_spacing	I/Imax	h k l
11.16	7.930	79	0 2 1
15.18	5.838	51	1 1 2
30.71	2.911	32	3 3 -1
30.87	2.897	100	0 6 0
31.50	2.840	31	3 3 -3
39.04	2.307	35	1 3 7


6.
For KZnSb, the PBE geometry in the Materials Project gives the simulated X-ray diffraction stick pattern in this record (CuKα).
Neutral-atom scattering factors, no anomalous dispersion.

Structure:
```
data_KZnSb
_symmetry_space_group_name_H-M 'P 63/m m c'
_symmetry_Int_Tables_number 194
_symmetry_space_group_name_Hall '-P 6c 2c'
_cell_length_a 4.5799
_cell_length_b 4.5799
_cell_length_c 10.7295
_cell_angle_alpha 90.00
_cell_angle_beta 90.00
_cell_angle_gamma 120.00
loop_
_atom_site_label
_atom_site_type_symbol
_atom_site_fract_x
_atom_site_fract_y
_atom_site_fract_z
K1 K 0.0000 0.0000 0.0000
Zn1 Zn 0.3333 0.6667 0.2500
Sb1 Sb 0.3333 0.6667 0.7500
```

The 6 most intense peaks (2θ = 5–70°), sorted by position:
2θ (°)	d_spacing	I/Imax	h k l
16.52	5.365	70	0 0 2
27.98	3.189	100	1 0 2
33.40	2.682	30	0 0 4
39.35	2.290	57	1 1 0
42.94	2.106	38	1 1 2
52.55	1.742	47	1 1 4


7.
For KZnSb, the PBE geometry in the Materials Project gives the simulated X-ray diffraction stick pattern in this record (CuKα).
Neutral-atom scattering factors, no anomalous dispersion.

Structure:
```
data_KZnSb
_symmetry_space_group_name_H-M 'P -6 m 2'
_symmetry_Int_Tables_number 187
_symmetry_space_group_name_Hall 'P -6 2'
_cell_length_a 4.5687
_cell_length_b 4.5687
_cell_length_c 5.4458
_cell_angle_alpha 90.00
_cell_angle_beta 90.00
_cell_angle_gamma 120.00
loop_
_atom_site_label
_atom_site_type_symbol
_atom_site_fract_x
_atom_site_fract_y
_atom_site_fract_z
K1 K 0.0000 0.0000 0.0000
Zn1 Zn 0.3333 0.6667 0.5000
Sb1 Sb 0.6667 0.3333 0.5000
```

The 6 most intense peaks (2θ = 5–70°), sorted by position:
2θ (°)	d_spacing	I/Imax	h k l
16.28	5.446	65	0 0 1
27.87	3.201	100	1 0 1
32.89	2.723	28	0 0 2
39.45	2.284	51	1 1 0
42.93	2.107	35	1 1 1
52.27	1.750	43	1 1 2


8.
For K3Sc, the PBE geometry in the Materials Project gives the simulated X-ray diffraction stick pattern in this record (CuKα).
Neutral-atom scattering factors, no anomalous dispersion.

Structure:
```
data_K3Sc
_symmetry_space_group_name_H-M 'F m -3 m'
_symmetry_Int_Tables_number 225
_symmetry_space_group_name_Hall '-F 4 2 3'
_cell_length_a 9.534
_cell_length_b 9.534
_cell_length_c 9.534
_cell_angle_alpha 90.00
_cell_angle_beta 90.00
_cell_angle_gamma 90.00
loop_
_atom_site_label
_atom_site_type_symbol
_atom_site_fract_x
_atom_site_fract_y
_atom_site_fract_z
K1 K 0.000 0.000 0.000
K2 K 0.250 0.250 0.250
Sc1 Sc 0.000 0.000 0.500
```

The 6 most intense peaks (2θ = 5–70°), sorted by position:
2θ (°)	d_spacing	I/Imax	h k l
26.44	3.371	100	2 2 0
37.74	2.384	18	4 0 0
46.67	1.946	36	4 2 2
54.44	1.685	11	4 4 0
61.51	1.507	14	6 2 0
68.14	1.376	3	4 4 4